1.
For Ta2GaOs, a PBE-relaxed structure gives the theoretical powder diffractogram in this record (Cu Kα).
Kinematic intensities with the Lorentz-polarization factor, no thermal factor.

Structure:
```
Ta2GaOs
1.0
0.0000 3.1935 3.1935
3.1935 0.0000 3.1935
3.1935 3.1935 0.0000
Ta Ga Os
2 1 1
Direct
0.0000 0.0000 0.0000
0.2500 0.2500 0.2500
0.5000 0.5000 0.5000
0.7500 0.7500 0.7500
```

Most intense lines, 10 to 90 degrees two-theta, in order of rising 2θ:
- 2θ 24.13, intensity 7
- 2θ 27.94, intensity 4
- 2θ 39.92, intensity 100
- 2θ 57.74, intensity 17
- 2θ 72.50, intensity 35
- 2θ 86.12, intensity 11


2.
For Th2GaOs, a PBE-relaxed structure gives the theoretical powder diffractogram in this record (Cu Kα).
Kinematic intensities with the Lorentz-polarization factor, no thermal factor.

Structure:
```
Th2GaOs
1.0
6.0850 0.0000 0.0000
0.0000 4.1149 0.0000
-2.9379 0.0000 7.9880
Th Ga Os
4 2 2
Direct
0.1813 0.2500 0.4042
0.2725 0.7500 0.0504
0.7275 0.2500 0.9496
0.8187 0.7500 0.5958
0.3627 0.7500 0.7058
0.6373 0.2500 0.2942
0.1131 0.2500 0.7947
0.8869 0.7500 0.2053
```

Most intense lines, 10 to 90 degrees two-theta, in order of rising 2θ:
- 2θ 31.05, intensity 88
- 2θ 31.21, intensity 100
- 2θ 31.61, intensity 68
- 2θ 38.37, intensity 60
- 2θ 38.77, intensity 51
- 2θ 44.01, intensity 43


3.
For Pr3Pa3Ga2, a PBE-relaxed structure gives the theoretical powder diffractogram in this record (Cu Kα).
Kinematic intensities with the Lorentz-polarization factor, no thermal factor.

Structure:
```
Pr3Pa3Ga2
1.0
4.6820 0.0000 0.0000
0.0000 4.6820 0.0000
0.0000 0.0000 12.5749
Pr Pa Ga
3 3 2
Direct
0.0000 0.0000 0.0000
0.0000 0.0000 0.5000
0.5000 0.5000 0.0000
0.5000 0.5000 0.2936
0.5000 0.5000 0.5000
0.5000 0.5000 0.7064
0.0000 0.5000 0.8405
0.5000 0.0000 0.1595
```

Most intense lines, 10 to 90 degrees two-theta, in order of rising 2θ:
- 2θ 18.95, intensity 71
- 2θ 23.69, intensity 33
- 2θ 26.93, intensity 100
- 2θ 38.45, intensity 68
- 2θ 39.53, intensity 73
- 2θ 70.28, intensity 29